Computed PXRD pattern
Compound: Li2MnO2F
Radiation: Cu Ka
Structure: a crystal structure in the Materials Project, relaxed with PBE+U
No peak broadening, texture or thermal motion is included.

Principal peaks in the range 10° ≤ 2θ ≤ 90°, in order of falling intensity:
hkl 0 1 1, 2θ = 21.90°, I = 100; hkl 0 2 0, 2θ = 20.35°, I = 77; hkl 2 3 0, 2θ = 44.54°, I = 70; hkl 0 0 2, 2θ = 39.30°, I = 54; hkl 2 3 2, 2θ = 60.88°, I = 47; hkl 2 1 0, 2θ = 33.11°, I = 34; hkl 2 2 1, 2θ = 42.76°, I = 20; hkl 0 2 2, 2θ = 44.65°, I = 18; hkl 2 1 2, 2θ = 52.30°, I = 17; hkl 2 4 1, 2θ = 56.84°, I = 16

Crystal structure
```
24
Lattice="5.6919 0.0000 0.0000 0.0000 8.7263 0.0000 0.0000 0.0000 4.5850" Properties=species:S:1:pos:R:3 pbc="T T T"
Li 0.7157 0.6369 1.0961
Li 0.7157 3.7262 1.0961
Li 2.1302 5.0000 3.3886
Li 2.1302 8.0894 3.3886
Li 3.5617 0.6369 1.1964
Li 3.5617 3.7262 1.1964
Li 4.9762 5.0000 3.4889
Li 4.9762 8.0894 3.4889
Mn 0.7010 6.5447 1.1498
Mn 2.1450 2.1816 3.4423
Mn 3.5469 6.5447 1.1427
Mn 4.9909 2.1816 3.4352
O 0.7219 0.8544 3.4561
O 0.7219 3.5088 3.4561
O 2.1241 5.2175 1.1636
O 2.1241 7.8719 1.1636
O 3.5678 0.8544 3.4214
O 3.5678 3.5088 3.4214
O 4.9700 5.2175 1.1289
O 4.9700 7.8719 1.1289
F 0.7021 6.5447 3.4392
F 2.1438 2.1816 1.1467
F 3.5480 6.5447 3.4383
F 4.9898 2.1816 1.1458
```